No. 1
Computed powder X-ray diffraction pattern of Re3HgBi for Cu Kα (λ = 1.5418 Å), from the GGA-PBE geometry in Alexandria.
No peak broadening, texture or thermal motion is included.

The 10 most intense peaks (2θ = 15–90°), by intensity:
h k l, d/Å, two_theta, I_rel
2 0 0, 2.480, 36.23, 100
2 2 0, 1.753, 52.17, 72
1 1 1, 2.863, 31.24, 66
4 2 0, 1.109, 88.09, 35
3 1 1, 1.495, 62.07, 29
1 1 0, 3.507, 25.40, 27
2 2 2, 1.432, 65.16, 25
1 0 0, 4.959, 17.89, 20
2 1 1, 2.025, 44.76, 12
3 3 1, 1.138, 85.31, 12

Cell and atoms:
a b c (Å): 4.959 4.959 4.959
angles (deg): 90.00 90.00 90.00
Space group Pm-3m (No. 221)
Inequivalent atoms, fractional coordinates:
Re: 0.000 0.000 0.500 x3
Hg: 0.000 0.000 0.000 x1
Bi: 0.500 0.500 0.500 x1

=====

No. 2
Computed powder X-ray diffraction pattern of CePmSm2Ho5 for Cu Kα (λ = 1.5418 Å), from the GGA-PBE geometry in Alexandria.
No peak broadening, texture or thermal motion is included.

The 10 most intense peaks (2θ = 15–90°), by intensity:
h k l, d/Å, two_theta, I_rel
2 0 4, 2.879, 31.06, 100
2 1 3, 3.093, 28.87, 64
2 2 0, 3.061, 29.18, 49
4 0 2, 2.082, 43.47, 22
3 1 0, 2.738, 32.71, 19
4 2 4, 1.730, 52.92, 18
3 2 1, 2.373, 37.92, 18
4 1 3, 1.944, 46.73, 15
2 1 5, 2.413, 37.27, 14
0 0 8, 1.928, 47.13, 13

Cell and atoms:
a b c (Å): 8.658 8.658 15.425
angles (deg): 90.00 90.00 90.00
Space group I4/mcm (No. 140)
Inequivalent atoms, fractional coordinates:
Ce: 0.000 0.500 0.250 x4
Pm: 0.000 0.000 0.250 x4
Sm: 0.119 0.381 0.000 x8
Ho: 0.000 0.000 0.000 x4
Ho: 0.203 0.297 0.362 x16

=====

No. 3
Computed powder X-ray diffraction pattern of Th6Si5S for Cu Kα (λ = 1.5418 Å), from the GGA-PBE geometry in Alexandria.
No peak broadening, texture or thermal motion is included.

The 10 most intense peaks (2θ = 15–90°), by intensity:
h k l, d/Å, two_theta, I_rel
1 -1 0, 3.800, 23.41, 100
-1 1 2, 2.868, 31.18, 94
1 2 1, 3.327, 26.80, 86
0 0 2, 3.658, 24.33, 84
1 2 -1, 2.798, 31.99, 81
2 1 1, 2.773, 32.28, 78
2 1 -1, 2.626, 34.14, 48
0 3 1, 2.299, 39.18, 44
1 2 3, 2.223, 40.59, 41
1 -1 2, 2.452, 36.66, 38

Cell and atoms:
a b c (Å): 5.863 7.219 7.554
angles (deg): 75.66 87.25 73.21
Space group P-1 (No. 2)
Inequivalent atoms, fractional coordinates:
Th: 0.069 0.103 0.226 x2
Th: 0.231 0.291 0.704 x2
Th: 0.393 0.445 0.225 x2
Si: 0.220 0.707 0.487 x2
Si: 0.402 0.876 0.976 x2
Si: 0.500 0.000 0.500 x1
S: 0.000 0.500 0.000 x1

=====

No. 4
Computed powder X-ray diffraction pattern of HfGaNi6 for Cu Kα (λ = 1.5418 Å), from the GGA-PBE geometry in Alexandria.
No peak broadening, texture or thermal motion is included.

The 10 most intense peaks (2θ = 15–90°), by intensity:
h k l, d/Å, two_theta, I_rel
2 0 1, 1.986, 45.67, 100
2 0 0, 2.260, 39.90, 27
0 0 2, 2.083, 43.43, 26
2 2 2, 1.106, 88.41, 18
1 0 1, 3.063, 29.15, 18
2 0 3, 1.183, 81.31, 17
2 2 0, 1.305, 72.45, 15
2 0 2, 1.532, 60.44, 15
4 0 1, 1.090, 89.98, 13
1 0 0, 4.519, 19.64, 13

Cell and atoms:
a b c (Å): 5.2183 5.2183 4.1669
angles (deg): 90.00 90.00 120.00
Space group P-6m2 (No. 187)
Inequivalent atoms, fractional coordinates:
Hf: 0.0000 0.0000 0.0000 x1
Ga: 0.6667 0.3333 0.5000 x1
Ni: 0.0036 0.5018 0.0000 x3
Ni: 0.1753 0.3505 0.5000 x3

=====

No. 5
Computed powder X-ray diffraction pattern of CaB3 for Cu Kα (λ = 1.5418 Å), from the GGA-PBE geometry in Alexandria.
No peak broadening, texture or thermal motion is included.

The 10 most intense peaks (2θ = 15–90°), by intensity:
h k l, d/Å, two_theta, I_rel
1 1 1, 2.586, 34.69, 100
1 3 0, 2.239, 40.28, 74
0 0 2, 2.925, 30.56, 66
0 4 1, 2.310, 38.99, 66
0 2 1, 3.813, 23.33, 54
1 3 2, 1.778, 51.39, 47
1 1 2, 2.053, 44.11, 39
0 2 3, 1.818, 50.18, 20
1 5 3, 1.269, 74.79, 18
0 4 0, 2.514, 35.71, 17

Cell and atoms:
a b c (Å): 3.009 10.058 5.850
angles (deg): 90.00 90.00 90.00
Space group Cmcm (No. 63)
Inequivalent atoms, fractional coordinates:
Ca: 0.000 0.163 0.250 x4
B: 0.000 0.107 0.750 x4
B: 0.000 0.443 0.107 x8

=====

No. 6
Computed powder X-ray diffraction pattern of Cd3AsS for Cu Kα (λ = 1.5418 Å), from the GGA-PBE geometry in Alexandria.
No peak broadening, texture or thermal motion is included.

The 10 most intense peaks (2θ = 15–90°), by intensity:
h k l, d/Å, two_theta, I_rel
5 3 -1, 2.348, 38.34, 100
1 5 0, 2.248, 40.11, 66
2 2 -1, 4.270, 20.80, 42
3 1 -2, 3.453, 25.80, 38
4 2 0, 2.902, 30.81, 36
3 3 -1, 2.993, 29.85, 35
0 2 1, 4.417, 20.10, 34
4 2 -1, 3.125, 28.57, 34
3 1 2, 2.269, 39.73, 34
0 0 2, 3.494, 25.49, 34

Cell and atoms:
a b c (Å): 14.967 11.399 7.756
angles (deg): 90.00 115.70 90.00
Space group C2/c (No. 15)
Inequivalent atoms, fractional coordinates:
Cd: 0.062 0.215 0.142 x8
Cd: 0.101 0.408 0.657 x8
Cd: 0.104 0.017 0.874 x8
As: 0.000 0.238 0.750 x4
As: 0.000 0.417 0.250 x4
S: 0.212 0.072 0.224 x8